Er4C7: theoretical X-ray powder pattern (Cu Kα), based on a PBE-relaxed structure.
Peak positions follow from Bragg's law for the DFT cell and can differ from measured ones.

Largest 8 diffraction maxima, low angle first, 15° ≤ 2θ ≤ 90°:
Position (°2θ)  I/Imax
27.30  73
28.22  99
31.01  100
31.77  100
32.83  89
35.48  66
36.60  51
36.72  51

Atomic structure:
```
Er4C7
1.0
3.5529 0.0000 0.0000
0.0358 3.5866 0.0000
1.2713 1.1585 11.2657
Er C
4 7
Cartesian
0.5113 1.3538 4.0476
2.5462 1.5911 9.7128
2.3138 3.1540 1.5530
4.3487 3.3913 7.2181
0.0179 1.7933 0.0000
0.6008 1.2413 1.0858
2.2392 2.8588 5.1695
2.5239 1.6003 7.4762
2.3361 3.1449 3.7895
2.6208 1.8864 6.0963
4.2593 3.5038 10.1800
```



ErC6: theoretical X-ray powder pattern (Cu Kα), based on a PBE-relaxed structure.
Peak positions follow from Bragg's law for the DFT cell and can differ from measured ones.

Largest 8 diffraction maxima, low angle first, 15° ≤ 2θ ≤ 90°:
Position (°2θ)  I/Imax
23.67  21
25.84  100
31.52  20
39.36  33
46.82  37
49.63  17
58.66  21
74.45  15

Atomic structure:
```
ErC6
1.0
4.3408 0.0000 0.0000
-2.1704 3.7592 0.0000
0.0000 0.0000 8.6575
Er C
2 12
Cartesian
0.0000 2.5061 2.1644
2.1704 1.2531 6.4931
-0.7236 1.2532 0.0000
-0.7236 1.2532 4.3287
-1.4468 2.5060 0.0000
-1.4468 2.5060 4.3287
1.4471 0.0000 0.0000
1.4471 0.0000 4.3287
0.7236 1.2532 0.0000
0.7236 1.2532 4.3287
2.8937 0.0000 0.0000
2.8937 0.0000 4.3287
1.4468 2.5060 0.0000
1.4468 2.5060 4.3287
```



GdErCF2: theoretical X-ray powder pattern (Cu Kα), based on a PBE-relaxed structure.
Peak positions follow from Bragg's law for the DFT cell and can differ from measured ones.

Largest 8 diffraction maxima, low angle first, 15° ≤ 2θ ≤ 90°:
Position (°2θ)  I/Imax
28.20  27
28.39  31
31.78  100
40.44  40
50.27  30
52.21  27
58.63  22
60.71  16

Atomic structure:
```
GdErCF2
1.0
3.6301 0.0000 0.0000
-1.8151 3.1438 0.0000
0.0000 0.0000 6.3297
Gd Er C F
1 1 1 2
Cartesian
0.0000 0.0000 0.0000
0.0000 2.0958 3.6364
1.8151 1.0479 4.9706
0.0000 0.0000 2.6030
0.0000 2.0958 1.1595
```



Pr2Er2CF5: theoretical X-ray powder pattern (Cu Kα), based on a PBE-relaxed structure.
Peak positions follow from Bragg's law for the DFT cell and can differ from measured ones.

Largest 8 diffraction maxima, low angle first, 15° ≤ 2θ ≤ 90°:
Position (°2θ)  I/Imax
21.01  49
24.30  30
29.66  41
31.62  94
32.80  34
35.37  100
38.57  50
51.30  51

Atomic structure:
```
Pr2Er2CF5
1.0
7.4471 -1.7790 0.0000
7.4471 1.7790 0.0000
-2.4723 0.0000 6.8434
Pr Er C F
2 2 1 5
Cartesian
-0.5659 0.0000 1.6738
12.9878 0.0000 5.1697
2.8052 0.0000 6.0411
9.6167 0.0000 0.8024
7.4471 0.0000 0.0000
0.4223 0.0000 6.2767
2.0190 0.0000 2.1662
6.2110 0.0000 3.4217
10.4029 0.0000 4.6772
11.9996 0.0000 0.5667
```



ErFe3C3: theoretical X-ray powder pattern (Cu Kα), based on a PBE-relaxed structure.
Peak positions follow from Bragg's law for the DFT cell and can differ from measured ones.

Largest 8 diffraction maxima, low angle first, 15° ≤ 2θ ≤ 90°:
Position (°2θ)  I/Imax
33.59  100
38.84  60
42.41  22
44.63  20
46.46  30
56.42  34
66.39  17
74.65  24

Atomic structure:
```
ErFe3C3
1.0
3.2616 0.0000 0.0000
-1.6308 2.8246 0.0000
0.0000 0.0000 16.2434
Er Fe C
2 6 6
Cartesian
0.0000 0.0000 0.0000
0.0000 0.0000 8.1217
0.0000 1.8831 2.2338
0.0000 1.8831 5.8879
0.0000 1.8831 12.1826
1.6308 0.9415 4.0609
1.6308 0.9415 10.3555
1.6308 0.9415 14.0096
0.0000 1.8831 4.0609
0.0000 1.8831 9.8398
0.0000 1.8831 14.5253
1.6308 0.9415 1.7181
1.6308 0.9415 6.4036
1.6308 0.9415 12.1826
```



NdErFe2Ge2C: theoretical X-ray powder pattern (Cu Kα), based on a PBE-relaxed structure.
Peak positions follow from Bragg's law for the DFT cell and can differ from measured ones.

Largest 8 diffraction maxima, low angle first, 15° ≤ 2θ ≤ 90°:
Position (°2θ)  I/Imax
33.36  94
33.68  64
34.80  49
35.82  100
36.08  53
39.29  66
40.78  41
45.27  51

Atomic structure:
```
NdErFe2Ge2C
1.0
5.3928 -2.0030 0.0000
5.3928 2.0030 0.0000
-4.3446 0.0000 5.3788
Nd Er Fe Ge C
1 1 2 2 1
Cartesian
0.0000 0.0000 0.0000
7.7181 0.0000 2.2580
-0.0413 0.0000 3.3055
3.3964 0.0000 4.2495
-1.3382 0.0000 5.3300
4.6964 0.0000 2.2727
1.6894 0.0000 3.7316
```